Simulated powder X-ray diffraction pattern
Compound: RbTbSO
Radiation: Cu Kα (weighted mean of Kα1 and Kα2)
Structure: a cell relaxed with PBE

Atomic structure:
```
RbTbSO
1.0
6.518 0.000 0.000
0.000 3.763 0.000
-2.163 0.000 7.404
Rb Tb S O
2 2 2 2
direct
0.000 0.000 0.000
0.500 0.500 0.000
0.157 0.000 0.467
0.657 0.500 0.467
0.066 0.500 0.696
0.566 0.000 0.696
0.280 0.500 0.338
0.780 0.000 0.338
```

Top 10 peaks for 2θ from 15° to 90°, most intense first:
| hkl | 2theta | I (rel.) |
| --- | --- | --- |
| 2 0 1 | 34.1 | 100 |
| 2 0 -1 | 27.7 | 93 |
| 1 1 -1 | 28.5 | 77 |
| 2 0 -3 | 39.6 | 70 |
| 0 0 2 | 24.0 | 58 |
| 0 2 0 | 48.4 | 54 |
| 3 1 1 | 54.7 | 38 |
| 1 1 -3 | 42.8 | 29 |
| 3 1 3 | 71.5 | 22 |
| 1 1 4 | 61.3 | 18 |